Theoretical powder XRD pattern
Compound: Er3Pd2Au3
Radiation: copper Kα
Structure: DFT lattice parameters and positions (GGA-PBE)
Peak positions follow from Bragg's law for the DFT cell and can differ from measured ones.

Principal peaks in the range 10 to 80 degrees two-theta, in order of falling intensity:
2theta	I/Imax	(hkl)
34.89	100	1 1 1
37.31	75	2 1 0
37.72	40	2 0 1
64.72	30	2 1 2
45.31	24	2 1 1
58.14	18	3 1 1
69.36	18	3 2 1
42.53	18	3 0 0
50.83	16	0 0 2
72.90	15	4 1 1

Cell and atoms:
Lattice parameters (Å, degrees): 7.3630 7.3630 3.5927 90.00 90.00 120.00
Space group P-62m (No. 189)
Unique sites:
Er (0.0000, 0.3944, 0.0000)
Pd (0.3333, 0.6667, 0.5000)
Au (0.0000, 0.7650, 0.5000)